Record 1
The following is a theoretical powder diffractogram of YHo3Al4. It was derived from a PBE-relaxed structure, using Cu Ka.
No peak broadening, texture or thermal motion is included.

Atomic structure:
Cell: 10.146 7.184 5.073 Å, 90.00 90.00 90.00°
Atoms (fractional coordinates):
Y: 0.000 0.000 0.000
Y: 0.500 0.000 0.000
Ho: 0.000 0.500 0.000
Ho: 0.250 0.000 0.499
Ho: 0.250 0.500 0.499
Ho: 0.500 0.500 0.000
Ho: 0.750 0.000 0.501
Ho: 0.750 0.500 0.501
Al: 0.000 0.251 0.500
Al: 0.000 0.749 0.500
Al: 0.250 0.251 0.999
Al: 0.250 0.749 0.999
Al: 0.500 0.251 0.500
Al: 0.500 0.749 0.500
Al: 0.750 0.251 0.001
Al: 0.750 0.749 0.001

Main lines, sorted by position (2θ from 5° to 70°):
d_spacing, I (rel.)
7.184, 21
4.144, 25
3.589, 579
2.538, 1000
2.072, 175
1.794, 177
1.605, 235
1.465, 363


Record 2
The following is a theoretical powder diffractogram of Y3HoAl8. It was derived from a PBE-relaxed structure, using Cu Ka.
No peak broadening, texture or thermal motion is included.

Atomic structure:
Cell: 5.548 5.548 9.138 Å, 90.00 90.00 120.00°
Atoms (fractional coordinates):
Y: 0.000 0.000 0.000
Y: 0.000 0.000 0.365
Y: 0.333 0.667 0.864
Ho: 0.333 0.667 0.500
Al: 0.009 0.504 0.183
Al: 0.325 0.162 0.682
Al: 0.496 0.504 0.183
Al: 0.496 0.991 0.183
Al: 0.667 0.333 0.433
Al: 0.667 0.333 0.932
Al: 0.838 0.162 0.682
Al: 0.838 0.675 0.682

Main lines, sorted by position (2θ from 5° to 70°):
d_spacing, I (rel.)
4.804, 330
4.252, 327
2.774, 687
2.573, 1000
2.371, 735
2.323, 402
1.560, 404
1.455, 208


Record 3
The following is a theoretical powder diffractogram of Y2Ho8Al. It was derived from a PBE-relaxed structure, using Cu Ka.
No peak broadening, texture or thermal motion is included.

Atomic structure:
Cell: 9.912 9.912 6.394 Å, 93.59 93.59 31.90°
Atoms (fractional coordinates):
Y: 0.241 0.241 0.331
Y: 0.759 0.759 0.669
Ho: 0.042 0.042 0.254
Ho: 0.154 0.154 0.811
Ho: 0.343 0.343 0.880
Ho: 0.422 0.422 0.399
Ho: 0.578 0.578 0.601
Ho: 0.657 0.657 0.120
Ho: 0.846 0.846 0.189
Ho: 0.958 0.958 0.746
Al: 0.500 0.500 0.000

Main lines, sorted by position (2θ from 5° to 70°):
d_spacing, I (rel.)
2.916, 189
2.863, 199
2.746, 1000
2.724, 298
1.990, 133
1.896, 86
1.577, 188
1.556, 99